Entry 1:
For La4TmSn2, a structure optimized by DFT (GGA-PBE) gives the calculated PXRD pattern in this record (Cu Kα (λ = 1.5418 Å)).

Largest 8 diffraction maxima, by intensity, 5 to 70 degrees two-theta:
d [Å], I (rel.), index
2.780, 100, 1 1 0
2.879, 38, 0 1 8
3.690, 29, 0 1 5
2.467, 22, 1 0 10
2.096, 21, 1 1 9
4.749, 20, 1 0 1
1.605, 19, 3 0 0
3.123, 15, 1 0 7

Structure:
```
data_La4TmSn2
_space_group_name_H-M_alt 'R -3 m'
_space_group_IT_number 166
_space_group_name_Hall '-R 3 2"'
_cell_length_a 5.5600
_cell_length_b 5.5600
_cell_length_c 28.7260
_cell_angle_alpha 90.00
_cell_angle_beta 90.00
_cell_angle_gamma 120.00
loop_
_atom_site_label
_atom_site_fract_x
_atom_site_fract_y
_atom_site_fract_z
La1 0.0000 0.0000 0.1243
La2 0.0000 0.0000 0.2816
Tm1 0.0000 0.0000 0.5000
Sn1 0.0000 0.0000 0.3955
```



Entry 2:
For Na3Ge8Pd3, a structure optimized by DFT (GGA-PBE) gives the calculated PXRD pattern in this record (Cu Kα (λ = 1.5418 Å)).

Largest 8 diffraction maxima, by intensity, 5 to 70 degrees two-theta:
d [Å], I (rel.), index
2.254, 100, 0 2 0
2.019, 78, 1 1 3
4.052, 67, 1 1 -1
2.534, 63, 5 1 -2
1.955, 57, 7 1 -3
2.116, 55, 6 0 0
2.044, 54, 3 1 -4
2.602, 51, 1 1 2

Structure:
```
data_Na3Ge8Pd3
_space_group_name_H-M_alt 'C 1 2/m 1'
_space_group_IT_number 12
_space_group_name_Hall '-C 2y'
_cell_length_a 15.433
_cell_length_b 4.507
_cell_length_c 9.267
_cell_angle_alpha 90.00
_cell_angle_beta 124.64
_cell_angle_gamma 90.00
loop_
_atom_site_label
_atom_site_fract_x
_atom_site_fract_y
_atom_site_fract_z
Na1 0.000 0.000 0.000
Na2 0.215 0.500 0.723
Ge1 0.001 0.500 0.334
Ge2 0.149 0.000 0.868
Ge3 0.151 0.000 0.440
Ge4 0.152 0.500 0.274
Pd1 0.000 0.000 0.500
Pd2 0.149 0.500 0.999
```



Entry 3:
For AcNdPuCd, a structure optimized by DFT (GGA-PBE) gives the calculated PXRD pattern in this record (Cu Kα (λ = 1.5418 Å)).

Largest 8 diffraction maxima, by intensity, 5 to 70 degrees two-theta:
d [Å], I (rel.), index
2.838, 100, 2 2 0
1.638, 40, 4 2 2
2.007, 19, 4 0 0
1.419, 12, 4 4 0
4.634, 8, 1 1 1
2.420, 5, 3 1 1
1.841, 2, 3 3 1
1.357, 2, 5 3 1

Structure:
```
data_AcNdPuCd
_space_group_name_H-M_alt 'F -4 3 m'
_space_group_IT_number 216
_space_group_name_Hall 'F -4 2 3'
_cell_length_a 8.026
_cell_length_b 8.026
_cell_length_c 8.026
_cell_angle_alpha 90.00
_cell_angle_beta 90.00
_cell_angle_gamma 90.00
loop_
_atom_site_label
_atom_site_fract_x
_atom_site_fract_y
_atom_site_fract_z
Ac1 0.000 0.000 0.000
Nd1 0.000 0.000 0.500
Pu1 0.250 0.250 0.750
Cd1 0.250 0.250 0.250
```



Entry 4:
For TbCoPH, a structure optimized by DFT (GGA-PBE) gives the calculated PXRD pattern in this record (Cu Kα (λ = 1.5418 Å)).

Largest 8 diffraction maxima, by intensity, 5 to 70 degrees two-theta:
d [Å], I (rel.), index
2.649, 100, 1 0 2
3.363, 99, 1 0 1
2.167, 66, 1 1 2
2.509, 48, 1 1 1
1.885, 47, 2 0 0
1.536, 37, 2 1 2
2.665, 32, 1 1 0
1.669, 31, 1 0 4

Structure:
```
data_TbCoPH
_space_group_name_H-M_alt 'P 4/n m m'
_space_group_IT_number 129
_cell_length_a 3.769
_cell_length_b 3.769
_cell_length_c 7.447
_cell_angle_alpha 90.00
_cell_angle_beta 90.00
_cell_angle_gamma 90.00
loop_
_space_group_symop_operation_xyz
'x,y,z'
'-x,-y,-z'
'-y+1/2,x,z'
'y+1/2,-x,-z'
'-x+1/2,-y+1/2,z'
'x+1/2,y+1/2,-z'
'y,-x+1/2,z'
'-y,x+1/2,-z'
'x+1/2,-y,-z'
'-x+1/2,y,z'
'-y,-x,-z'
'y,x,z'
'-x,y+1/2,-z'
'x,-y+1/2,z'
'y+1/2,x+1/2,-z'
'-y+1/2,-x+1/2,z'
loop_
_atom_site_label
_atom_site_fract_x
_atom_site_fract_y
_atom_site_fract_z
Tb1 0.250 0.250 0.175
Co1 0.250 0.750 0.500
P1 0.250 0.250 0.661
H1 0.250 0.750 0.000
```